# BaMg14Fe
Theoretical PXRD pattern, λ = 1.5418 Å (Cu Kα). Input: a crystal structure in the Materials Project, relaxed with PBE.
Neutral-atom scattering factors, no anomalous dispersion.

Structural model:
a b c (Å): 6.493 6.493 10.522
angles (deg): 90.00 90.00 120.00
Fractional positions:
1 Ba 0.000 0.000 0.000
2 Mg 0.013 0.507 0.000
3 Mg 0.162 0.323 0.286
4 Mg 0.162 0.323 0.714
5 Mg 0.162 0.838 0.286
6 Mg 0.162 0.838 0.714
7 Mg 0.493 0.507 0.000
8 Mg 0.493 0.987 0.000
9 Mg 0.509 0.017 0.500
10 Mg 0.509 0.491 0.500
11 Mg 0.667 0.333 0.239
12 Mg 0.667 0.333 0.761
13 Mg 0.677 0.838 0.286
14 Mg 0.677 0.838 0.714
15 Mg 0.983 0.491 0.500
16 Fe 0.000 0.000 0.500

Top 8 peaks for 2θ from 5° to 70°, low angle first:
2θ 15.76, I = 37
2θ 23.15, I = 27
2θ 31.83, I = 29
2θ 34.08, I = 22
2θ 36.23, I = 100
2θ 47.32, I = 19
2θ 56.71, I = 18
2θ 67.84, I = 16



# MgH2S2O8
Theoretical PXRD pattern, λ = 1.5418 Å (Cu Kα). Input: a crystal structure in the Materials Project, relaxed with PBE.
Neutral-atom scattering factors, no anomalous dispersion.

Structural model:
a b c (Å): 5.098 10.641 9.684
angles (deg): 90.00 117.42 90.00
Fractional positions:
1 Mg 0.000 0.000 0.000
2 Mg 0.000 0.500 0.500
3 H 0.491 0.184 0.322
4 H 0.491 0.316 0.822
5 H 0.509 0.684 0.178
6 H 0.509 0.816 0.678
7 S 0.308 0.101 0.772
8 S 0.308 0.399 0.272
9 S 0.692 0.601 0.728
10 S 0.692 0.899 0.228
11 O 0.068 0.063 0.807
12 O 0.068 0.437 0.307
13 O 0.259 0.150 0.106
14 O 0.259 0.350 0.606
15 O 0.277 0.191 0.252
16 O 0.277 0.309 0.752
17 O 0.400 0.608 0.590
18 O 0.400 0.892 0.090
19 O 0.600 0.108 0.910
20 O 0.600 0.392 0.410
21 O 0.723 0.691 0.248
22 O 0.723 0.809 0.748
23 O 0.741 0.650 0.394
24 O 0.741 0.850 0.894
25 O 0.932 0.563 0.693
26 O 0.932 0.937 0.193

Top 8 peaks for 2θ from 5° to 70°, low angle first:
2θ 13.24, I = 100
2θ 19.62, I = 21
2θ 20.67, I = 17
2θ 21.34, I = 39
2θ 22.57, I = 29
2θ 29.41, I = 14
2θ 32.91, I = 11
2θ 35.32, I = 19



# GaBiO3
Theoretical PXRD pattern, λ = 1.5418 Å (Cu Kα). Input: a crystal structure in the Materials Project, relaxed with PBE.
Neutral-atom scattering factors, no anomalous dispersion.

Structural model:
a b c (Å): 3.895 3.895 3.895
angles (deg): 90.00 90.00 90.00
Fractional positions:
1 Ga 0.000 0.000 0.000
2 Bi 0.500 0.500 0.500
3 O 0.000 0.000 0.500
4 O 0.000 0.500 0.000
5 O 0.500 0.000 0.000

Top 7 peaks for 2θ from 5° to 70°, low angle first:
2θ 22.83, I = 22
2θ 32.51, I = 100
2θ 40.10, I = 18
2θ 46.64, I = 28
2θ 52.54, I = 11
2θ 58.01, I = 40
2θ 68.10, I = 18